(1)
This entry pairs a crystal structure of SrGa2Ge2O8 with its calculated powder XRD pattern. Radiation: Cu Ka. Structure: a crystal structure in the Materials Project, relaxed with PBE.

Largest 10 diffraction maxima, by angle, 10 to 90 degrees two-theta:
Position (°2θ), I (rel.)
20.43, 80.3
21.55, 38.7
21.70, 48.7
22.92, 64.8
26.40, 100.0
29.00, 57.3
29.20, 73.5
33.53, 68.4
33.71, 55.4
34.17, 55.0

Structural model:
abc: 8.6983 9.7924 9.3255
angles: 90.00 90.47 90.00
Element x y z (fractional)
Sr 0.2495 0.0871 0.1146
Sr 0.2495 0.4129 0.6146
Sr 0.7505 0.5871 0.3854
Sr 0.7505 0.9129 0.8854
Ga 0.0689 0.6939 0.0536
Ga 0.0689 0.8061 0.5536
Ga 0.4326 0.0758 0.7351
Ga 0.4326 0.4242 0.2351
Ga 0.5674 0.5758 0.7649
Ga 0.5674 0.9242 0.2649
Ga 0.9311 0.1939 0.4464
Ga 0.9311 0.3061 0.9464
Ge 0.0619 0.0797 0.7420
Ge 0.0619 0.4203 0.2420
Ge 0.4400 0.6994 0.0569
Ge 0.4400 0.8006 0.5569
Ge 0.5600 0.1994 0.4431
Ge 0.5600 0.3006 0.9431
Ge 0.9381 0.5797 0.7580
Ge 0.9381 0.9203 0.2580
O 0.0173 0.0790 0.3090
O 0.0173 0.4210 0.8090
O 0.0663 0.6261 0.6184
O 0.0663 0.8739 0.1184
O 0.0701 0.1981 0.5998
O 0.0701 0.3019 0.0998
O 0.2445 0.0750 0.8294
O 0.2445 0.4250 0.3294
O 0.2609 0.6360 0.0014
O 0.2609 0.8640 0.5014
O 0.4254 0.1990 0.5853
O 0.4254 0.3010 0.0853
O 0.4337 0.6282 0.6163
O 0.4337 0.8718 0.1163
O 0.4807 0.0920 0.3064
O 0.4807 0.4080 0.8064
O 0.5193 0.5920 0.1936
O 0.5193 0.9080 0.6936
O 0.5663 0.1282 0.8837
O 0.5663 0.3718 0.3837
O 0.5746 0.6990 0.9147
O 0.5746 0.8010 0.4147
O 0.7391 0.1360 0.4986
O 0.7391 0.3640 0.9986
O 0.7555 0.5750 0.6706
O 0.7555 0.9250 0.1706
O 0.9299 0.6981 0.9002
O 0.9299 0.8019 0.4002
O 0.9337 0.1261 0.8816
O 0.9337 0.3739 0.3816
O 0.9827 0.5790 0.1910
O 0.9827 0.9210 0.6910

=====

(2)
This entry pairs a crystal structure of TbGaGe2O7 with its calculated powder XRD pattern. Radiation: Cu Ka. Structure: a crystal structure in the Materials Project, relaxed with PBE.

Largest 10 diffraction maxima, by angle, 10 to 90 degrees two-theta:
Position (°2θ), I (rel.)
15.53, 18.3
27.74, 100.0
29.69, 49.8
30.70, 25.2
31.46, 26.0
33.04, 23.8
36.02, 22.1
44.82, 16.0
47.99, 15.1
52.97, 14.9

Structural model:
abc: 7.2789 6.6181 12.8770
angles: 90.00 117.95 90.00
Element x y z (fractional)
Tb 0.2440 0.1431 0.4721
Tb 0.2440 0.3569 0.9721
Tb 0.7560 0.6431 0.0279
Tb 0.7560 0.8569 0.5279
Ga 0.2125 0.0995 0.7299
Ga 0.2125 0.4005 0.2299
Ga 0.7875 0.5995 0.7701
Ga 0.7875 0.9005 0.2701
Ge 0.2160 0.6576 0.4563
Ge 0.2160 0.8424 0.9563
Ge 0.2997 0.5889 0.7211
Ge 0.2997 0.9111 0.2211
Ge 0.7003 0.0889 0.7789
Ge 0.7003 0.4111 0.2789
Ge 0.7840 0.1576 0.0437
Ge 0.7840 0.3424 0.5437
O 0.0161 0.6556 0.9233
O 0.0161 0.8444 0.4233
O 0.1493 0.6888 0.1843
O 0.1493 0.8112 0.6843
O 0.2075 0.0556 0.8726
O 0.2075 0.4444 0.3726
O 0.2198 0.1098 0.2817
O 0.2198 0.3902 0.7817
O 0.2539 0.0023 0.0773
O 0.2539 0.4977 0.5773
O 0.4118 0.6723 0.9793
O 0.4118 0.8277 0.4793
O 0.4285 0.1257 0.6888
O 0.4285 0.3743 0.1888
O 0.5715 0.6257 0.8112
O 0.5715 0.8743 0.3112
O 0.5882 0.1723 0.5207
O 0.5882 0.3277 0.0207
O 0.7461 0.5023 0.4227
O 0.7461 0.9977 0.9227
O 0.7802 0.6098 0.2183
O 0.7802 0.8902 0.7183
O 0.7925 0.5556 0.6274
O 0.7925 0.9444 0.1274
O 0.8507 0.1888 0.3157
O 0.8507 0.3112 0.8157
O 0.9839 0.1556 0.5767
O 0.9839 0.3444 0.0767

=====

(3)
This entry pairs a crystal structure of GaGePt6 with its calculated powder XRD pattern. Radiation: Cu Ka. Structure: a crystal structure in the Materials Project, relaxed with PBE.

Largest 10 diffraction maxima, by angle, 10 to 90 degrees two-theta:
Position (°2θ), I (rel.)
31.95, 10.7
37.75, 23.6
39.44, 100.0
45.64, 19.7
45.96, 27.5
50.19, 10.6
66.78, 18.1
70.53, 11.3
80.18, 12.8
80.65, 12.6

Structural model:
abc: 5.6032 5.6032 5.6032
angles: 120.22 120.22 89.62
Element x y z (fractional)
Ga 0.0000 0.0000 0.0000
Ge 0.5000 0.5000 0.0000
Pt 0.0000 0.5000 0.5000
Pt 0.0483 0.4612 0.0000
Pt 0.4612 0.0483 0.0000
Pt 0.5000 0.0000 0.5000
Pt 0.5388 0.5388 0.5871
Pt 0.9517 0.9517 0.4129

=====

(4)
This entry pairs a crystal structure of GaGe3Rh4 with its calculated powder XRD pattern. Radiation: Cu Ka. Structure: a crystal structure in the Materials Project, relaxed with PBE.

Largest 10 diffraction maxima, by angle, 10 to 90 degrees two-theta:
Position (°2θ), I (rel.)
31.67, 18.4
40.89, 100.0
41.28, 92.2
44.75, 25.4
45.30, 49.4
45.49, 26.8
71.16, 16.6
71.84, 15.6
72.25, 15.6
77.76, 15.9

Structural model:
abc: 4.9133 4.9133 4.9133
angles: 89.33 89.33 89.33
Element x y z (fractional)
Ga 0.0000 0.0000 0.0000
Ge 0.1751 0.5015 0.6823
Ge 0.5015 0.6823 0.1751
Ge 0.6823 0.1751 0.5015
Rh 0.2096 0.9753 0.4769
Rh 0.4769 0.2096 0.9753
Rh 0.7028 0.7028 0.7028
Rh 0.9753 0.4769 0.2096

=====

(5)
This entry pairs a crystal structure of V12Ga2GeS24 with its calculated powder XRD pattern. Radiation: Cu Ka. Structure: a crystal structure in the Materials Project, relaxed with PBE.

Largest 10 diffraction maxima, by angle, 10 to 90 degrees two-theta:
Position (°2θ), I (rel.)
15.81, 34.9
18.27, 39.9
25.95, 29.3
30.53, 93.3
37.03, 88.6
40.49, 25.6
45.78, 34.6
48.73, 65.1
53.37, 100.0
84.70, 20.2

Structural model:
abc: 11.8926 11.8926 11.8926
angles: 146.43 60.00 131.83
Element x y z (fractional)
V 0.0697 0.9996 0.0701
V 0.1231 0.5804 0.1236
V 0.1231 0.9995 0.5427
V 0.2638 0.0007 0.2631
V 0.4027 0.0000 0.4027
V 0.4568 0.5804 0.4573
V 0.4568 0.9995 0.8764
V 0.5973 0.0000 0.5973
V 0.7376 0.0007 0.7369
V 0.7909 0.0011 0.2102
V 0.7909 0.5807 0.7898
V 0.9294 0.9996 0.9299
Ga 0.0620 0.3953 0.6667
Ga 0.7286 0.3953 0.3333
Ge 0.3948 0.3948 0.0000
S 0.0132 0.7662 0.2470
S 0.0164 0.2584 0.7580
S 0.0243 0.2831 0.2588
S 0.0243 0.7655 0.7412
S 0.1687 0.2593 0.9095
S 0.1855 0.7660 0.4195
S 0.1988 0.2585 0.3928
S 0.1988 0.8060 0.9403
S 0.3465 0.7660 0.5805
S 0.3498 0.2593 0.0905
S 0.3575 0.2830 0.5919
S 0.3575 0.7655 0.0744
S 0.5004 0.2584 0.2420
S 0.5192 0.7662 0.7530
S 0.5310 0.2588 0.7278
S 0.5310 0.8032 0.2722
S 0.6797 0.7660 0.9137
S 0.6824 0.2577 0.4247
S 0.6911 0.2830 0.9256
S 0.6911 0.7655 0.4081
S 0.8330 0.2577 0.5753
S 0.8522 0.7660 0.0863
S 0.8657 0.2585 0.0597
S 0.8657 0.8060 0.6072

=====

(6)
This entry pairs a crystal structure of V12GaGe2S24 with its calculated powder XRD pattern. Radiation: Cu Ka. Structure: a crystal structure in the Materials Project, relaxed with PBE.

Largest 10 diffraction maxima, by angle, 10 to 90 degrees two-theta:
Position (°2θ), I (rel.)
15.81, 34.9
18.27, 42.6
25.95, 30.6
30.53, 93.2
37.03, 88.2
40.49, 26.5
45.77, 35.7
48.73, 67.0
53.37, 100.0
72.90, 18.1

Structural model:
abc: 11.8906 11.8906 11.8906
angles: 146.41 60.01 131.83
Element x y z (fractional)
V 0.0693 0.0000 0.0693
V 0.2099 0.0025 0.7925
V 0.2099 0.4174 0.2075
V 0.2653 0.0013 0.2641
V 0.4040 0.0007 0.4033
V 0.5422 0.0004 0.1251
V 0.5422 0.4171 0.5418
V 0.5973 0.0007 0.5967
V 0.7372 0.0013 0.7359
V 0.8753 0.0004 0.4582
V 0.8753 0.4171 0.8749
V 0.9307 0.0000 0.9307
Ga 0.6045 0.6045 0.0000
Ge 0.2717 0.6051 0.6666
Ge 0.9385 0.6051 0.3334
S 0.1354 0.1962 0.3944
S 0.1354 0.7409 0.9391
S 0.1470 0.2334 0.9136
S 0.1648 0.7406 0.4241
S 0.3094 0.2342 0.5918
S 0.3094 0.7176 0.0752
S 0.3165 0.7406 0.5759
S 0.3197 0.2334 0.0864
S 0.4673 0.1928 0.7255
S 0.4673 0.7418 0.2745
S 0.4815 0.2342 0.2473
S 0.4988 0.7414 0.7575
S 0.6424 0.2342 0.9248
S 0.6424 0.7176 0.4082
S 0.6509 0.7427 0.9083
S 0.6534 0.2338 0.4196
S 0.8018 0.1962 0.0609
S 0.8018 0.7409 0.6056
S 0.8143 0.2338 0.5804
S 0.8344 0.7427 0.0917
S 0.9765 0.2354 0.2588
S 0.9765 0.7177 0.7412
S 0.9839 0.7414 0.2425
S 0.9869 0.2342 0.7527